(1)
The following is a simulated X-ray diffraction stick pattern of Ti2V2H5. It was derived from a DFT-relaxed cell (PBE, Alexandria), using Cu Kα (λ = 1.5418 Å).

The 6 most intense peaks (10° ≤ 2θ ≤ 90°), sorted by position:
- (0 2 0), 38.46 deg, 2.341 Å, intensity 20.1
- (4 1 1), 38.73 deg, 2.325 Å, intensity 100.0
- (0 2 2), 55.70 deg, 1.650 Å, intensity 13.0
- (4 3 1), 69.74 deg, 1.348 Å, intensity 12.2
- (8 2 0), 70.09 deg, 1.343 Å, intensity 18.0
- (8 2 2), 83.07 deg, 1.163 Å, intensity 8.9

Atomic structure:
```
data_Ti2V2H5
_cell_length_a 13.1003
_cell_length_b 4.6818
_cell_length_c 4.6536
_cell_angle_alpha 90.00
_cell_angle_beta 90.00
_cell_angle_gamma 90.00
_space_group_name_H-M_alt 'I m a 2'
_space_group_IT_number 46
loop_
_space_group_symop_operation_xyz
'x,y,z'
'-x,-y,z'
'-x+1/2,y,z'
'x+1/2,-y,z'
'x+1/2,y+1/2,z+1/2'
'-x+1/2,-y+1/2,z+1/2'
'-x,y+1/2,z+1/2'
'x,-y+1/2,z+1/2'
loop_
_atom_site_label
_atom_site_fract_x
_atom_site_fract_y
_atom_site_fract_z
Ti1 0.0000 0.0000 0.0000
Ti2 0.2500 0.0019 0.0098
V1 0.1251 0.5011 0.0052
H1 0.0696 0.7434 0.7495
H2 0.1265 0.1552 0.8538
H3 0.2500 0.6089 0.9022
```

---

(2)
The following is a simulated X-ray diffraction stick pattern of Ti4VH8. It was derived from a DFT-relaxed cell (PBE, Alexandria), using Cu Kα (λ = 1.5418 Å).

The 6 most intense peaks (10° ≤ 2θ ≤ 90°), sorted by position:
- (1 0 0), 18.83 deg, 4.712 Å, intensity 31.9
- (1 1 0), 26.76 deg, 3.332 Å, intensity 26.3
- (1 1 1), 32.93 deg, 2.720 Å, intensity 76.4
- (2 0 0), 38.20 deg, 2.356 Å, intensity 100.0
- (2 2 0), 55.13 deg, 1.666 Å, intensity 72.1
- (3 1 1), 65.73 deg, 1.421 Å, intensity 25.5

Atomic structure:
```
data_Ti4VH8
_cell_length_a 4.7117
_cell_length_b 4.7117
_cell_length_c 4.7117
_cell_angle_alpha 90.00
_cell_angle_beta 90.00
_cell_angle_gamma 90.00
_space_group_name_H-M_alt 'P m -3 m'
_space_group_IT_number 221
_space_group_name_Hall '-P 4 2 3'
loop_
_atom_site_label
_atom_site_fract_x
_atom_site_fract_y
_atom_site_fract_z
Ti1 0.0000 0.0000 0.0000
Ti2 0.0000 0.5000 0.5000
V1 0.5000 0.5000 0.5000
H1 0.2482 0.2482 0.2482
```

---

(3)
The following is a simulated X-ray diffraction stick pattern of TiV3H. It was derived from a DFT-relaxed cell (PBE, Alexandria), using Cu Kα (λ = 1.5418 Å).

The 6 most intense peaks (10° ≤ 2θ ≤ 90°), sorted by position:
- (1 1 -2), 40.78 deg, 2.212 Å, intensity 68.4
- (0 2 0), 41.19 deg, 2.192 Å, intensity 100.0
- (1 0 2), 41.75 deg, 2.164 Å, intensity 33.6
- (3 0 -2), 58.57 deg, 1.576 Å, intensity 9.9
- (1 2 2), 60.11 deg, 1.539 Å, intensity 19.9
- (2 3 0), 75.07 deg, 1.265 Å, intensity 13.5

Atomic structure:
```
data_TiV3H
_cell_length_a 5.1749
_cell_length_b 4.3810
_cell_length_c 5.3863
_cell_angle_alpha 90.00
_cell_angle_beta 101.83
_cell_angle_gamma 90.00
_space_group_name_H-M_alt 'P 1 21 1'
_space_group_IT_number 4
loop_
_space_group_symop_operation_xyz
'x,y,z'
'-x,y+1/2,-z'
loop_
_atom_site_label
_atom_site_fract_x
_atom_site_fract_y
_atom_site_fract_z
Ti1 0.1254 0.0000 0.1795
V1 0.1103 0.9972 0.6809
V2 0.3500 0.5025 0.5670
V3 0.3903 0.4994 0.0515
H1 0.4275 0.1071 0.6307
```